# 1
For Mg6AgPd10, a DFT-relaxed cell (GGA-PBE, Alexandria) gives the simulated powder diffractogram in this record (Cu Kα (weighted mean of Kα1 and Kα2)).
No peak broadening, texture or thermal motion is included.

Top 10 peaks for 10° ≤ 2θ ≤ 80°, in order of rising 2θ:
(2 0 0), 26.82°, I = 4; (2 -1 1), 28.45°, I = 29; (2 1 0), 35.69°, I = 4; (3 -1 1), 39.49°, I = 9; (1 1 2), 40.67°, I = 100; (2 2 1), 50.41°, I = 4; (4 -2 2), 58.87°, I = 16; (3 0 3), 66.60°, I = 4; (2 -1 4), 73.88°, I = 7; (4 1 2), 74.05°, I = 19

Structure:
a b c (Å): 7.6779 7.6779 5.4440
angles (deg): 90.00 90.00 120.00
Space group P-31m (No. 162)
Unique sites:
Mg  0.0000  0.3627  0.2945 [6 per cell]
Ag  0.0000  0.0000  0.5000 [1 per cell]
Pd  0.0000  0.2996  0.8119 [6 per cell]
Pd  0.3333  0.6667  0.0000 [2 per cell]
Pd  0.3333  0.6667  0.5000 [2 per cell]

=====

# 2
For Tl3PtCl7, a DFT-relaxed cell (GGA-PBE, Alexandria) gives the simulated powder diffractogram in this record (Cu Kα (weighted mean of Kα1 and Kα2)).
No peak broadening, texture or thermal motion is included.

Top 10 peaks for 10° ≤ 2θ ≤ 80°, in order of rising 2θ:
(2 1 0), 20.40°, I = 26; (2 0 1), 22.40°, I = 100; (2 1 1), 24.21°, I = 32; (2 2 0), 25.88°, I = 41; (0 0 2), 25.99°, I = 34; (3 1 0), 29.01°, I = 32; (2 1 2), 33.25°, I = 54; (2 2 2), 37.00°, I = 33; (3 3 0), 39.28°, I = 34; (4 2 0), 41.48°, I = 25

Structure:
a b c (Å): 9.736 9.736 6.858
angles (deg): 90.00 90.00 90.00
Space group P4/mbm (No. 127)
Unique sites:
Tl  0.000  0.000  0.000 [2 per cell]
Tl  0.173  0.327  0.500 [4 per cell]
Pt  0.000  0.500  0.000 [2 per cell]
Cl  0.000  0.000  0.500 [2 per cell]
Cl  0.118  0.618  0.246 [8 per cell]
Cl  0.170  0.330  0.000 [4 per cell]

=====

# 3
For Zr6NbRh, a DFT-relaxed cell (GGA-PBE, Alexandria) gives the simulated powder diffractogram in this record (Cu Kα (weighted mean of Kα1 and Kα2)).
No peak broadening, texture or thermal motion is included.

Top 10 peaks for 10° ≤ 2θ ≤ 80°, in order of rising 2θ:
(0 2 0), 34.82°, I = 31; (1 1 4), 36.68°, I = 100; (0 0 8), 37.26°, I = 20; (0 2 8), 51.91°, I = 15; (2 0 0), 53.76°, I = 9; (1 3 4), 63.64°, I = 19; (2 2 0), 65.66°, I = 9; (1 1 12), 66.81°, I = 10; (2 0 8), 67.23°, I = 7; (2 2 8), 78.00°, I = 9

Structure:
a b c (Å): 3.410 5.154 19.304
angles (deg): 90.00 90.00 90.00
Space group Immm (No. 71)
Unique sites:
Zr  0.000  0.000  0.107 [4 per cell]
Zr  0.000  0.000  0.381 [4 per cell]
Zr  0.000  0.500  0.255 [4 per cell]
Nb  0.000  0.500  0.000 [2 per cell]
Rh  0.000  0.500  0.500 [2 per cell]

=====

# 4
For Na4CuF7, a DFT-relaxed cell (GGA-PBE, Alexandria) gives the simulated powder diffractogram in this record (Cu Kα (weighted mean of Kα1 and Kα2)).
No peak broadening, texture or thermal motion is included.

Top 10 peaks for 10° ≤ 2θ ≤ 80°, in order of rising 2θ:
(2 0 -1), 14.63°, I = 100; (2 0 1), 27.48°, I = 60; (4 0 -2), 29.51°, I = 38; (1 1 1), 30.62°, I = 67; (4 0 -1), 31.00°, I = 41; (3 1 -1), 32.80°, I = 92; (4 0 -3), 33.01°, I = 37; (2 0 -4), 41.25°, I = 50; (3 1 1), 43.95°, I = 41; (0 2 0), 48.51°, I = 59

Structure:
a b c (Å): 12.154 3.753 9.092
angles (deg): 90.00 126.80 90.00
Space group C2/m (No. 12)
Unique sites:
Na  0.087  0.000  0.239 [4 per cell]
Na  0.234  0.000  0.860 [4 per cell]
Cu  0.000  0.500  0.500 [2 per cell]
F  0.000  0.000  0.500 [2 per cell]
F  0.062  0.500  0.736 [4 per cell]
F  0.138  0.000  0.022 [4 per cell]
F  0.219  0.500  0.346 [4 per cell]

=====

# 5
For NaSr5Cd2, a DFT-relaxed cell (GGA-PBE, Alexandria) gives the simulated powder diffractogram in this record (Cu Kα (weighted mean of Kα1 and Kα2)).
No peak broadening, texture or thermal motion is included.

Top 10 peaks for 10° ≤ 2θ ≤ 80°, in order of rising 2θ:
(0 0 2), 10.96°, I = 32; (2 1 3), 27.34°, I = 100; (2 0 4), 29.48°, I = 14; (3 1 0), 30.83°, I = 40; (3 1 2), 32.82°, I = 9; (0 0 6), 33.29°, I = 11; (2 1 5), 35.38°, I = 20; (3 1 6), 46.01°, I = 12; (3 1 8), 55.46°, I = 11; (4 4 0), 56.72°, I = 20

Structure:
a b c (Å): 9.170 9.170 16.148
angles (deg): 90.00 90.00 90.00
Space group I4/mcm (No. 140)
Unique sites:
Na  0.000  0.000  0.250 [4 per cell]
Sr  0.000  0.000  0.000 [4 per cell]
Sr  0.159  0.341  0.140 [16 per cell]
Cd  0.130  0.370  0.500 [8 per cell]